1.
# La3Y6Ho2
Calculated powder diffraction line list, Cu Kα. Input: a cell relaxed with PBE.
No peak broadening, texture or thermal motion is included.

Structure:
Lattice parameters (Å, degrees): 5.7688 5.7688 38.6959 90.00 90.00 120.00
Space group R-3m (No. 166, hexagonal axes)
Inequivalent atoms, fractional coordinates:
1 La 0.0000 0.0000 0.0000
2 La 0.0000 0.0000 0.2698
3 Y 0.0000 0.0000 0.0916
4 Y 0.0000 0.0000 0.1788
5 Y 0.0000 0.0000 0.3643
6 Ho 0.0000 0.0000 0.4554

Most intense lines, 10 to 90 degrees two-theta, sorted by position:
Position (°2θ)  intensity  index
20.0  3  1 0 4
31.0  100  1 1 0
44.5  18  2 0 11
55.2  29  3 0 0
55.4  9  1 0 22
64.6  6  2 2 0
64.8  6  0 2 22
73.4  8  3 1 11
73.6  8  2 1 22
81.8  3  0 4 11



2.
# Cu2Se2NO10
Calculated powder diffraction line list, Cu Kα. Input: a cell relaxed with PBE.
No peak broadening, texture or thermal motion is included.

Structure:
Lattice parameters (Å, degrees): 9.739 6.172 8.318 90.00 121.57 90.00
Space group C2/m (No. 12)
Inequivalent atoms, fractional coordinates:
1 Cu 0.250 0.250 0.000
2 Se 0.075 0.000 0.287
3 N 0.000 0.500 0.500
4 O 0.045 0.230 0.776
5 O 0.171 0.000 0.169
6 O 0.185 0.500 0.052
7 O 0.190 0.000 0.516

Most intense lines, 10 to 90 degrees two-theta, sorted by position:
Position (°2θ)  intensity  index
12.5  49  0 0 1
17.9  80  1 1 0
22.9  100  2 0 -2
24.9  21  1 1 1
25.9  44  1 1 -2
30.1  41  2 0 1
31.4  36  3 1 -1
31.6  29  0 2 1
34.4  52  2 2 -1
50.2  25  4 2 -3



3.
# Ba6Y2Ga4O15
Calculated powder diffraction line list, Cu Kα. Input: a cell relaxed with PBE.
No peak broadening, texture or thermal motion is included.

Structure:
Lattice parameters (Å, degrees): 8.059 6.045 18.702 90.00 91.20 90.00
Space group P2/c (No. 13)
Inequivalent atoms, fractional coordinates:
1 Ba 0.000 0.170 0.250
2 Ba 0.000 0.255 0.579
3 Ba 0.473 0.252 0.909
4 Ba 0.500 0.224 0.250
5 Y 0.253 0.248 0.090
6 Ga 0.255 0.245 0.442
7 Ga 0.270 0.275 0.733
8 O 0.033 0.258 0.410
9 O 0.189 0.167 0.816
10 O 0.224 0.454 0.191
11 O 0.253 0.053 0.662
12 O 0.265 0.018 0.996
13 O 0.268 0.480 0.510
14 O 0.452 0.267 0.391
15 O 0.500 0.305 0.750

Most intense lines, 10 to 90 degrees two-theta, sorted by position:
Position (°2θ)  intensity  index
28.6  49  0 0 6
29.6  55  0 2 0
30.0  91  2 1 -3
30.5  100  2 1 3
41.6  46  0 2 6
45.0  23  4 0 0
51.3  17  2 1 -9
52.7  16  2 3 -3
53.0  18  2 3 3
54.8  24  4 2 0



4.
# TbPmTm6
Calculated powder diffraction line list, Cu Kα. Input: a cell relaxed with PBE.
No peak broadening, texture or thermal motion is included.

Structure:
Lattice parameters (Å, degrees): 7.367 11.609 5.801 90.00 90.00 90.00
Space group Cmmm (No. 65)
Inequivalent atoms, fractional coordinates:
1 Tb 0.000 0.000 0.000
2 Pm 0.000 0.500 0.000
3 Tm 0.000 0.252 0.500
4 Tm 0.246 0.000 0.500
5 Tm 0.250 0.250 0.000

Most intense lines, 10 to 90 degrees two-theta, sorted by position:
Position (°2θ)  intensity  index
30.8  58  0 4 0
32.7  100  2 2 1
44.1  22  0 4 2
49.5  8  4 0 0
56.0  44  2 6 1
59.4  18  4 4 0
68.5  12  4 4 2
72.9  10  0 8 2
73.9  10  2 6 3
81.9  7  6 2 1



5.
# KZn2CdB2O6F
Calculated powder diffraction line list, Cu Kα. Input: a cell relaxed with PBE.
No peak broadening, texture or thermal motion is included.

Structure:
Lattice parameters (Å, degrees): 5.0867 5.0867 15.4716 90.00 90.00 120.00
Space group P-31c (No. 163)
Inequivalent atoms, fractional coordinates:
1 K 0.0000 0.0000 0.2500
2 Zn 0.3333 0.6667 0.1168
3 Cd 0.0000 0.0000 0.0000
4 B 0.3333 0.6667 0.5949
5 O 0.0681 0.3867 0.9046
6 F 0.3333 0.6667 0.2500

Most intense lines, 10 to 90 degrees two-theta, sorted by position:
Position (°2θ)  intensity  index
11.4  42  0 0 2
21.0  30  1 0 1
23.2  18  1 0 2
30.8  100  1 0 4
35.3  57  1 1 0
40.5  13  1 0 6
47.5  26  2 0 4
60.1  24  2 -1 8
60.5  23  3 -1 4
63.3  15  3 0 0